# YCdIn
Theoretical X-ray powder pattern, Cu Kα X-rays. Input: a PBE-relaxed structure.
Intensities are scaled so that the largest is 1000.

Cell and atoms:
```
data_YCdIn
_cell_length_a 12.103
_cell_length_b 3.774
_cell_length_c 8.219
_cell_angle_alpha 90.00
_cell_angle_beta 124.44
_cell_angle_gamma 90.00
_symmetry_space_group_name_H-M 'C 1 2/m 1'
_symmetry_Int_Tables_number 12
loop_
_symmetry_equiv_pos_as_xyz
'x,y,z'
'-x,-y,-z'
'-x,y,-z'
'x,-y,z'
'x+1/2,y+1/2,z'
'-x+1/2,-y+1/2,-z'
'-x+1/2,y+1/2,-z'
'x+1/2,-y+1/2,z'
loop_
_atom_site_label
_atom_site_fract_x
_atom_site_fract_y
_atom_site_fract_z
Y1 0.088 0.000 0.321
Cd1 0.140 0.500 0.036
In1 0.145 0.500 0.676
```

Largest 10 diffraction maxima, in order of falling intensity, 10 to 80 degrees two-theta:
| d (Å) | intensity | hkl |
| --- | --- | --- |
| 2.496 | 1000 | 4 0 0 |
| 2.733 | 840 | 1 1 -2 |
| 2.902 | 648 | 1 1 1 |
| 2.533 | 588 | 4 0 -3 |
| 2.751 | 481 | 3 1 -1 |
| 2.260 | 429 | 0 0 3 |
| 1.887 | 295 | 0 2 0 |
| 1.513 | 275 | 4 2 -3 |
| 2.037 | 266 | 5 1 -2 |
| 1.448 | 199 | 0 2 3 |



# Sr4N
Theoretical X-ray powder pattern, Cu Kα X-rays. Input: a PBE-relaxed structure.
Intensities are scaled so that the largest is 1000.

Cell and atoms:
```
data_Sr4N
_cell_length_a 9.879
_cell_length_b 9.879
_cell_length_c 9.235
_cell_angle_alpha 90.00
_cell_angle_beta 90.00
_cell_angle_gamma 90.00
_symmetry_space_group_name_H-M 'I 41/a m d'
_symmetry_Int_Tables_number 141
loop_
_symmetry_equiv_pos_as_xyz
'x,y,z'
'-x,-y,-z'
'-y+1/4,x+3/4,z+1/4'
'y+1/4,-x+3/4,-z+1/4'
'-x+1/2,-y,z+1/2'
'x+1/2,y,-z+1/2'
'y+1/4,-x+1/4,z+3/4'
'-y+1/4,x+1/4,-z+3/4'
'x,-y,-z'
'-x,y,z'
'-y+1/4,-x+1/4,-z+3/4'
'y+1/4,x+1/4,z+3/4'
'-x+1/2,y,-z+1/2'
'x+1/2,-y,z+1/2'
'y+1/4,x+3/4,-z+1/4'
'-y+1/4,-x+3/4,z+1/4'
'x+1/2,y+1/2,z+1/2'
'-x+1/2,-y+1/2,-z+1/2'
'-y+3/4,x+1/4,z+3/4'
'y+3/4,-x+1/4,-z+3/4'
'-x,-y+1/2,z'
'x,y+1/2,-z'
'y+3/4,-x+3/4,z+1/4'
'-y+3/4,x+3/4,-z+1/4'
'x+1/2,-y+1/2,-z+1/2'
'-x+1/2,y+1/2,z+1/2'
'-y+3/4,-x+3/4,-z+1/4'
'y+3/4,x+3/4,z+1/4'
'-x,y+1/2,-z'
'x,-y+1/2,z'
'y+3/4,x+1/4,-z+3/4'
'-y+3/4,-x+1/4,z+3/4'
loop_
_atom_site_label
_atom_site_fract_x
_atom_site_fract_y
_atom_site_fract_z
Sr1 0.000 0.044 0.239
N1 0.000 0.250 0.375
```

Largest 10 diffraction maxima, in order of falling intensity, 10 to 80 degrees two-theta:
| d (Å) | intensity | hkl |
| --- | --- | --- |
| 3.373 | 1000 | 2 0 2 |
| 3.493 | 424 | 2 2 0 |
| 1.993 | 220 | 4 2 2 |
| 1.926 | 174 | 2 2 4 |
| 2.470 | 148 | 4 0 0 |
| 3.985 | 141 | 2 1 1 |
| 3.102 | 135 | 3 0 1 |
| 2.047 | 132 | 3 2 3 |
| 1.932 | 120 | 5 0 1 |
| 2.627 | 119 | 3 2 1 |



# Zr2Ni15Rh2
Theoretical X-ray powder pattern, Cu Kα X-rays. Input: a PBE-relaxed structure.
Intensities are scaled so that the largest is 1000.

Cell and atoms:
```
data_Zr2Ni15Rh2
_cell_length_a 8.2556
_cell_length_b 8.2556
_cell_length_c 12.0613
_cell_angle_alpha 90.00
_cell_angle_beta 90.00
_cell_angle_gamma 120.00
_symmetry_space_group_name_H-M 'R -3 m'
_symmetry_Int_Tables_number 166
_symmetry_space_group_name_Hall '-R 3 2"'
loop_
_atom_site_label
_atom_site_fract_x
_atom_site_fract_y
_atom_site_fract_z
Zr1 0.0000 0.0000 0.1616
Ni1 0.0000 0.3058 0.5000
Ni2 0.0000 0.5000 0.0000
Ni3 0.0086 0.5043 0.6549
Rh1 0.0000 0.0000 0.3936
```

Largest 10 diffraction maxima, in order of falling intensity, 10 to 80 degrees two-theta:
| d (Å) | intensity | hkl |
| --- | --- | --- |
| 2.050 | 1000 | 0 3 3 |
| 2.064 | 792 | 2 2 0 |
| 1.836 | 712 | 2 2 3 |
| 2.011 | 600 | 0 0 6 |
| 2.383 | 592 | 3 0 0 |
| 2.305 | 364 | 0 2 4 |
| 2.000 | 254 | 2 0 5 |
| 1.440 | 210 | 2 2 6 |
| 1.807 | 167 | 1 1 6 |
| 1.302 | 166 | 3 3 3 |